# 1
For Ho3Mg3InAgPt, a structure optimized by DFT (GGA-PBE) gives the calculated X-ray powder pattern in this record (λ = 1.5418 Å (Cu Kα)).
No peak broadening, texture or thermal motion is included.

Cell and atoms:
a b c (Å): 7.9059 7.9059 3.8939
angles (deg): 90.00 90.00 120.00
Space group P-6 (No. 174)
Inequivalent atoms, fractional coordinates:
Ho  0.0349  0.4292  0.0000 x3
Mg  0.2536  0.2506  0.5000 x3
In  0.6667  0.3333  0.5000 x1
Ag  0.0000  0.0000  0.0000 x1
Pt  0.3333  0.6667  0.5000 x1

The 10 most intense peaks (2θ = 10–90°), sorted by position:
d = 6.847 Å, rel. 51, hkl 1 0 0; d = 3.953 Å, rel. 47, hkl 1 1 0; d = 2.774 Å, rel. 91, hkl 1 1 1; d = 2.588 Å, rel. 30, hkl 2 1 0; d = 2.571 Å, rel. 100, hkl 2 0 1; d = 2.282 Å, rel. 38, hkl 3 0 0; d = 2.155 Å, rel. 47, hkl 1 2 1; d = 1.947 Å, rel. 21, hkl 0 0 2; d = 1.899 Å, rel. 20, hkl 1 3 0; d = 1.457 Å, rel. 30, hkl 3 2 1

---

# 2
For LaHo2Ni2B2N3, a structure optimized by DFT (GGA-PBE) gives the calculated X-ray powder pattern in this record (λ = 1.5418 Å (Cu Kα)).
No peak broadening, texture or thermal motion is included.

Cell and atoms:
a b c (Å): 3.531 3.531 20.509
angles (deg): 90.00 90.00 90.00
Space group I4/mmm (No. 139)
Inequivalent atoms, fractional coordinates:
La  0.000  0.000  0.000 x2
Ho  0.000  0.000  0.373 x4
Ni  0.000  0.500  0.250 x4
B  0.000  0.000  0.192 x4
N  0.000  0.000  0.122 x4
N  0.000  0.000  0.500 x2

The 10 most intense peaks (2θ = 10–90°), sorted by position:
d = 3.137 Å, rel. 100, hkl 1 0 3; d = 2.676 Å, rel. 68, hkl 1 0 5; d = 2.564 Å, rel. 52, hkl 0 0 8; d = 2.497 Å, rel. 38, hkl 1 1 0; d = 2.426 Å, rel. 32, hkl 1 1 2; d = 2.245 Å, rel. 41, hkl 1 1 4; d = 2.016 Å, rel. 26, hkl 1 1 6; d = 1.765 Å, rel. 36, hkl 2 0 0; d = 1.539 Å, rel. 26, hkl 2 1 3; d = 1.454 Å, rel. 34, hkl 2 0 8

---

# 3
For Cd2SeO, a structure optimized by DFT (GGA-PBE) gives the calculated X-ray powder pattern in this record (λ = 1.5418 Å (Cu Kα)).
No peak broadening, texture or thermal motion is included.

Cell and atoms:
a b c (Å): 6.052 3.832 14.161
angles (deg): 90.00 90.00 90.00
Space group Pnma (No. 62)
Inequivalent atoms, fractional coordinates:
Cd  0.142  0.250  0.189 x4
Cd  0.213  0.750  0.414 x4
Se  0.238  0.250  0.569 x4
O  0.222  0.750  0.830 x4

The 10 most intense peaks (2θ = 10–90°), sorted by position:
d = 3.722 Å, rel. 15, hkl 1 0 3; d = 3.026 Å, rel. 45, hkl 2 0 0; d = 2.975 Å, rel. 100, hkl 0 1 3; d = 2.959 Å, rel. 25, hkl 2 0 1; d = 2.945 Å, rel. 22, hkl 1 1 2; d = 2.670 Å, rel. 22, hkl 1 1 3; d = 2.278 Å, rel. 22, hkl 0 1 5; d = 2.122 Å, rel. 47, hkl 2 1 3; d = 1.916 Å, rel. 25, hkl 0 2 0; d = 1.731 Å, rel. 17, hkl 3 1 2

---

# 4
For Ho2Tm2C3, a structure optimized by DFT (GGA-PBE) gives the calculated X-ray powder pattern in this record (λ = 1.5418 Å (Cu Kα)).
No peak broadening, texture or thermal motion is included.

Cell and atoms:
a b c (Å): 12.855 3.652 6.022
angles (deg): 90.00 115.32 90.00
Space group C2/m (No. 12)
Inequivalent atoms, fractional coordinates:
Ho  0.136  0.000  0.495 x4
Tm  0.134  0.500  0.946 x4
C  0.000  0.500  0.500 x2
C  0.221  0.000  0.207 x4

The 10 most intense peaks (2θ = 10–90°), sorted by position:
d = 3.122 Å, rel. 25, hkl 1 1 -1; d = 2.905 Å, rel. 44, hkl 4 0 0; d = 2.777 Å, rel. 57, hkl 1 1 1; d = 2.723 Å, rel. 100, hkl 3 1 -1; d = 2.623 Å, rel. 24, hkl 4 0 -2; d = 2.152 Å, rel. 23, hkl 3 1 1; d = 1.826 Å, rel. 14, hkl 0 2 0; d = 1.758 Å, rel. 21, hkl 3 1 -3; d = 1.663 Å, rel. 16, hkl 4 0 2; d = 1.629 Å, rel. 18, hkl 7 1 -1

---

# 5
For Ir9Pb, a structure optimized by DFT (GGA-PBE) gives the calculated X-ray powder pattern in this record (λ = 1.5418 Å (Cu Kα)).
No peak broadening, texture or thermal motion is included.

Cell and atoms:
a b c (Å): 2.786 2.786 51.068
angles (deg): 90.00 90.00 90.00
Space group P4/nmm (No. 129, origin choice 2)
Inequivalent atoms, fractional coordinates:
Ir  0.250  0.250  0.019 x2
Ir  0.250  0.250  0.093 x2
Ir  0.250  0.250  0.168 x2
Ir  0.250  0.250  0.243 x2
Ir  0.250  0.250  0.317 x2
Ir  0.250  0.250  0.719 x2
Ir  0.250  0.250  0.794 x2
Ir  0.250  0.250  0.869 x2
Ir  0.250  0.250  0.944 x2
Pb  0.250  0.250  0.637 x2

The 10 most intense peaks (2θ = 10–90°), sorted by position:
d = 2.272 Å, rel. 100, hkl 1 0 13; d = 2.214 Å, rel. 42, hkl 1 0 14; d = 1.970 Å, rel. 47, hkl 1 1 0; d = 1.964 Å, rel. 12, hkl 0 0 26; d = 1.891 Å, rel. 12, hkl 0 0 27; d = 1.393 Å, rel. 15, hkl 2 0 0; d = 1.391 Å, rel. 12, hkl 1 1 26; d = 1.364 Å, rel. 17, hkl 1 1 27; d = 1.188 Å, rel. 26, hkl 2 1 13; d = 1.179 Å, rel. 12, hkl 2 1 14

---

# 6
For La2CuNiBi4, a structure optimized by DFT (GGA-PBE) gives the calculated X-ray powder pattern in this record (λ = 1.5418 Å (Cu Kα)).
No peak broadening, texture or thermal motion is included.

Cell and atoms:
a b c (Å): 4.631 4.631 9.950
angles (deg): 90.00 90.00 90.00
Space group P-4m2 (No. 115)
Inequivalent atoms, fractional coordinates:
La  0.000  0.500  0.231 x2
Cu  0.000  0.000  0.000 x1
Ni  0.500  0.500  0.000 x1
Bi  0.000  0.000  0.500 x1
Bi  0.000  0.500  0.854 x2
Bi  0.500  0.500  0.500 x1

The 10 most intense peaks (2θ = 10–90°), sorted by position:
d = 3.390 Å, rel. 23, hkl 1 0 2; d = 3.317 Å, rel. 28, hkl 0 0 3; d = 3.110 Å, rel. 52, hkl 1 1 1; d = 2.735 Å, rel. 100, hkl 1 1 2; d = 2.696 Å, rel. 19, hkl 1 0 3; d = 2.315 Å, rel. 57, hkl 2 0 0; d = 1.981 Å, rel. 21, hkl 1 1 4; d = 1.899 Å, rel. 24, hkl 2 0 3; d = 1.637 Å, rel. 20, hkl 2 2 0; d = 1.405 Å, rel. 26, hkl 3 1 2

---

# 7
For Dy4Y3Cu2Te2, a structure optimized by DFT (GGA-PBE) gives the calculated X-ray powder pattern in this record (λ = 1.5418 Å (Cu Kα)).
No peak broadening, texture or thermal motion is included.

Cell and atoms:
a b c (Å): 3.962 15.591 9.582
angles (deg): 90.00 90.00 90.00
Space group Imm2 (No. 44)
Inequivalent atoms, fractional coordinates:
Dy  0.000  0.129  0.000 x4
Dy  0.000  0.314  0.205 x4
Y  0.000  0.000  0.588 x2
Y  0.000  0.357  0.847 x4
Cu  0.000  0.238  0.510 x4
Te  0.000  0.000  0.248 x2
Te  0.000  0.500  0.349 x2

The 10 most intense peaks (2θ = 10–90°), sorted by position:
d = 3.662 Å, rel. 31, hkl 1 0 1; d = 2.996 Å, rel. 41, hkl 1 1 2; d = 2.965 Å, rel. 25, hkl 0 5 1; d = 2.721 Å, rel. 68, hkl 0 3 3; d = 2.669 Å, rel. 100, hkl 1 4 1; d = 2.633 Å, rel. 73, hkl 1 3 2; d = 2.369 Å, rel. 25, hkl 1 2 3; d = 1.981 Å, rel. 31, hkl 2 0 0; d = 1.798 Å, rel. 23, hkl 0 3 5; d = 1.602 Å, rel. 27, hkl 2 3 3

---

# 8
For GaNi15, a structure optimized by DFT (GGA-PBE) gives the calculated X-ray powder pattern in this record (λ = 1.5418 Å (Cu Kα)).
No peak broadening, texture or thermal motion is included.

Cell and atoms:
a b c (Å): 4.954 3.500 33.671
angles (deg): 90.00 90.01 90.00
Space group Pm (No. 6)
Inequivalent atoms, fractional coordinates:
Ga  0.000  0.000  0.000 x1
Ga  0.250  0.500  0.443 x1
Ni  0.000  0.000  0.555 x1
Ni  0.000  0.000  0.629 x1
Ni  0.000  0.000  0.703 x1
Ni  0.000  0.000  0.777 x1
Ni  0.000  0.000  0.851 x1
Ni  0.000  0.000  0.925 x1
Ni  0.250  0.500  0.519 x1
Ni  0.250  0.500  0.593 x1
Ni  0.250  0.500  0.666 x1
Ni  0.250  0.500  0.740 x1
Ni  0.250  0.500  0.814 x1
Ni  0.250  0.500  0.888 x1
Ni  0.252  0.500  0.963 x1
Ni  0.500  0.000  0.555 x1
Ni  0.500  0.000  0.629 x1
Ni  0.500  0.000  0.703 x1
Ni  0.500  0.000  0.777 x1
Ni  0.500  0.000  0.851 x1
Ni  0.500  0.000  0.925 x1
Ni  0.500  0.000  0.998 x1
Ni  0.502  0.000  0.480 x1
Ni  0.748  0.500  0.963 x1
Ni  0.750  0.500  0.445 x1
Ni  0.750  0.500  0.519 x1
Ni  0.750  0.500  0.592 x1
Ni  0.750  0.500  0.666 x1
Ni  0.750  0.500  0.740 x1
Ni  0.750  0.500  0.814 x1
Ni  0.750  0.500  0.888 x1
Ni  0.998  0.000  0.480 x1

The 10 most intense peaks (2θ = 10–90°), sorted by position:
d = 8.418 Å, rel. 21, hkl 0 0 4; d = 2.082 Å, rel. 53, hkl 0 1 13; d = 2.021 Å, rel. 100, hkl 2 1 0; d = 1.982 Å, rel. 46, hkl 0 1 14; d = 1.790 Å, rel. 32, hkl 2 0 13; d = 1.749 Å, rel. 31, hkl 0 2 0; d = 1.726 Å, rel. 29, hkl 2 0 14; d = 1.251 Å, rel. 18, hkl 2 2 13; d = 1.238 Å, rel. 9, hkl 4 0 0; d = 1.229 Å, rel. 17, hkl 2 2 14

---

# 9
For LiTaGeO5, a structure optimized by DFT (GGA-PBE) gives the calculated X-ray powder pattern in this record (λ = 1.5418 Å (Cu Kα)).
No peak broadening, texture or thermal motion is included.

Cell and atoms:
a b c (Å): 7.605 8.065 7.525
angles (deg): 90.00 119.63 90.00
Space group P2_1/c (No. 14)
Inequivalent atoms, fractional coordinates:
Li  0.250  0.058  0.209 x4
Ta  0.251  0.742  0.994 x4
Ge  0.250  0.113  0.757 x4
O  0.051  0.242  0.151 x4
O  0.248  0.510  0.063 x4
O  0.249  0.682  0.747 x4
O  0.254  0.509  0.451 x4
O  0.448  0.242  0.349 x4

The 10 most intense peaks (2θ = 10–90°), sorted by position:
d = 5.112 Å, rel. 75, hkl 1 1 0; d = 4.032 Å, rel. 37, hkl 0 2 0; d = 3.410 Å, rel. 100, hkl 1 1 -2; d = 3.305 Å, rel. 60, hkl 2 0 0; d = 2.540 Å, rel. 31, hkl 2 2 -2; d = 2.490 Å, rel. 38, hkl 1 3 0; d = 2.373 Å, rel. 43, hkl 1 1 2; d = 1.720 Å, rel. 18, hkl 4 2 -2; d = 1.716 Å, rel. 31, hkl 0 4 2; d = 1.704 Å, rel. 24, hkl 3 3 0